Theoretical XRD peak list of MgMn2As2Pb2O18 for CuKα, from the GGA+U geometry in Alexandria.

Largest 10 diffraction maxima, low angle first, 2θ from 5° to 70°:
Position (°2θ)	I_rel	(hkl)
15.48	99	0 0 2
17.02	100	1 0 0
22.82	51	1 1 1
24.64	66	1 -1 1
25.47	58	1 1 -1
26.69	46	-1 1 1
29.74	43	1 1 3
31.58	43	1 -1 3
33.05	40	0 2 0
36.36	55	-1 1 3

Atomic structure:
```
MgMn2As2Pb2O18
1.0
5.3542 0.0000 0.0000
0.3947 5.4219 0.0000
2.5638 0.2631 11.4500
Mg Mn As Pb O
1 2 2 2 18
Direct
0.0000 0.0000 0.0000 Mg
0.4928 0.7484 0.5542 Mn
0.5072 0.2516 0.4458 Mn
0.0965 0.3003 0.2537 As
0.9035 0.6997 0.7463 As
0.4689 0.2377 0.7288 Pb
0.5311 0.7623 0.2712 Pb
0.1128 0.1077 0.1450 O
0.2060 0.5879 0.2232 O
0.2130 0.6359 0.9848 O
0.2331 0.6218 0.6851 O
0.2817 0.1350 0.3438 O
0.2955 0.1742 0.8936 O
0.3170 0.0741 0.5775 O
0.3424 0.5900 0.4438 O
0.4326 0.7028 0.9453 O
0.5674 0.2972 0.0547 O
0.6576 0.4100 0.5562 O
0.6830 0.9259 0.4225 O
0.7045 0.8258 0.1064 O
0.7183 0.8650 0.6562 O
0.7669 0.3782 0.3149 O
0.7870 0.3641 0.0152 O
0.7940 0.4121 0.7768 O
0.8872 0.8923 0.8550 O
```